[1]
# Mg5Si6
Simulated X-ray diffraction stick pattern, λ = 1.5418 Å (Cu Kα). Input: DFT lattice parameters and positions (GGA-PBE).

Largest 12 diffraction maxima, sorted by position, 2θ = 10–90°:
- 34.4°, I = 19
- 35.5°, I = 72
- 35.9°, I = 100
- 35.9°, I = 47
- 37.7°, I = 56
- 40.0°, I = 21
- 40.6°, I = 15
- 41.1°, I = 15
- 42.0°, I = 28
- 45.5°, I = 57
- 63.6°, I = 16
- 77.7°, I = 16

Crystal structure
Cell: 29.785 3.989 6.953 Å, 90.00 103.46 90.00°
Space group Cm (No. 8)
Inequivalent atoms, fractional coordinates:
Mg: 0.000 0.000 0.000 (multiplicity 2)
Mg: 0.029 0.500 0.353 (multiplicity 2)
Mg: 0.076 0.000 0.696 (multiplicity 2)
Mg: 0.147 0.000 0.064 (multiplicity 2)
Mg: 0.209 0.000 0.574 (multiplicity 2)
Mg: 0.249 0.000 0.121 (multiplicity 2)
Mg: 0.290 0.500 0.486 (multiplicity 2)
Mg: 0.325 0.000 0.835 (multiplicity 2)
Mg: 0.364 0.000 0.375 (multiplicity 2)
Mg: 0.456 0.500 0.470 (multiplicity 2)
Si: 0.011 0.500 0.718 (multiplicity 2)
Si: 0.073 0.500 0.017 (multiplicity 2)
Si: 0.090 0.000 0.314 (multiplicity 2)
Si: 0.141 0.500 0.451 (multiplicity 2)
Si: 0.173 0.500 0.821 (multiplicity 2)
Si: 0.201 0.500 0.270 (multiplicity 2)
Si: 0.256 0.500 0.822 (multiplicity 2)
Si: 0.315 0.500 0.130 (multiplicity 2)
Si: 0.383 0.500 0.696 (multiplicity 2)
Si: 0.390 0.500 0.067 (multiplicity 2)
Si: 0.434 0.000 0.773 (multiplicity 2)
Si: 0.440 0.000 0.140 (multiplicity 2)

[2]
# Mg3Si4
Simulated X-ray diffraction stick pattern, λ = 1.5418 Å (Cu Kα). Input: DFT lattice parameters and positions (GGA-PBE).

Largest 12 diffraction maxima, sorted by position, 2θ = 10–90°:
- 36.6°, I = 99
- 37.3°, I = 100
- 38.6°, I = 90
- 39.2°, I = 95
- 39.3°, I = 96
- 43.0°, I = 59
- 49.7°, I = 36
- 56.6°, I = 20
- 62.4°, I = 17
- 66.1°, I = 17
- 67.8°, I = 22
- 72.9°, I = 15

Crystal structure
Cell: 5.347 5.975 8.461 Å, 70.31 83.95 78.93°
Space group P1 (No. 1)
Inequivalent atoms, fractional coordinates:
Mg: 0.000 0.000 0.000 (multiplicity 1)
Mg: 0.002 0.516 0.985 (multiplicity 1)
Mg: 0.293 0.153 0.562 (multiplicity 1)
Mg: 0.304 0.651 0.560 (multiplicity 1)
Mg: 0.478 0.231 0.876 (multiplicity 1)
Mg: 0.784 0.876 0.387 (multiplicity 1)
Si: 0.154 0.558 0.274 (multiplicity 1)
Si: 0.268 0.057 0.251 (multiplicity 1)
Si: 0.465 0.756 0.831 (multiplicity 1)
Si: 0.538 0.768 0.119 (multiplicity 1)
Si: 0.585 0.333 0.187 (multiplicity 1)
Si: 0.776 0.348 0.442 (multiplicity 1)
Si: 0.841 0.941 0.690 (multiplicity 1)
Si: 0.871 0.435 0.701 (multiplicity 1)

[3]
# Mg4Si3
Simulated X-ray diffraction stick pattern, λ = 1.5418 Å (Cu Kα). Input: DFT lattice parameters and positions (GGA-PBE).

Largest 12 diffraction maxima, sorted by position, 2θ = 10–90°:
- 23.6°, I = 26
- 33.2°, I = 22
- 34.1°, I = 22
- 35.4°, I = 12
- 36.9°, I = 17
- 38.2°, I = 21
- 39.5°, I = 21
- 41.4°, I = 100
- 42.0°, I = 22
- 43.1°, I = 19
- 44.3°, I = 15
- 75.6°, I = 11

Crystal structure
Cell: 4.362 5.533 6.477 Å, 78.95 71.88 68.21°
Space group P-1 (No. 2)
Inequivalent atoms, fractional coordinates:
Mg: 0.110 0.213 0.098 (multiplicity 2)
Mg: 0.328 0.298 0.556 (multiplicity 2)
Si: 0.000 0.000 0.500 (multiplicity 1)
Si: 0.332 0.640 0.168 (multiplicity 2)